The following is a simulated powder XRD pattern of AgAsO3. It was derived from a PBE-relaxed structure, using Cu Kα, 1.54184 Å.

Cell and atoms:
```
AgAsO3
1.0
2.4829 1.4335 5.6172
-2.4829 1.4335 5.6172
0.0000 -2.8670 5.6172
Ag As O
2 2 6
direct
0.1439 0.1439 0.1439
0.8561 0.8561 0.8561
0.3357 0.3357 0.3357
0.6643 0.6643 0.6643
0.0591 0.6792 0.4491
0.3208 0.5509 0.9409
0.4491 0.0591 0.6792
0.5509 0.9409 0.3208
0.6792 0.4491 0.0591
0.9409 0.3208 0.5509
```

Main lines, in order of falling intensity (2θ = 10–90°):
d/Å  intensity
3.009  1000
2.483  810
1.860  666
3.830  454
1.915  268
1.516  247
1.434  232
2.809  180